No. 1
Starting from a cell relaxed with GGA-PBE, the X-ray powder pattern of PaNCl3 was calculated for Cu Ka.
Kinematic intensities with the Lorentz-polarization factor, no thermal factor.

Crystal structure
```
data_PaNCl3
_cell_length_a 11.3812
_cell_length_b 8.0447
_cell_length_c 7.4219
_cell_angle_alpha 90.00
_cell_angle_beta 90.00
_cell_angle_gamma 90.00
_space_group_name_H-M_alt 'I m a 2'
_space_group_IT_number 46
_space_group_name_Hall 'I 2 -2a'
loop_
_atom_site_label
_atom_site_type_symbol
_atom_site_fract_x
_atom_site_fract_y
_atom_site_fract_z
Pa1 Pa 0.2500 0.2503 0.0000
N1 N 0.2500 0.1333 0.2498
Cl1 Cl 0.0249 0.2498 0.0004
Cl2 Cl 0.2500 0.5032 0.2504
```

Main lines, low angle first (2θ from 15° to 90°):
2θ/deg	I_rel	h k l
15.6	78	2 0 0
22.1	59	0 2 0
24.0	42	0 0 2
26.0	46	3 1 0
27.6	100	1 1 2
32.8	69	0 2 2
46.1	48	4 2 2
48.3	49	5 1 2

***

No. 2
Starting from a cell relaxed with GGA-PBE, the X-ray powder pattern of Sr6Pb2NCl was calculated for Cu Ka.
Kinematic intensities with the Lorentz-polarization factor, no thermal factor.

Crystal structure
```
data_Sr6Pb2NCl
_cell_length_a 10.9569
_cell_length_b 10.9569
_cell_length_c 10.9569
_cell_angle_alpha 90.00
_cell_angle_beta 90.00
_cell_angle_gamma 90.00
_space_group_name_H-M_alt 'F m -3 m'
_space_group_IT_number 225
_space_group_name_Hall '-F 4 2 3'
loop_
_atom_site_label
_atom_site_type_symbol
_atom_site_fract_x
_atom_site_fract_y
_atom_site_fract_z
Sr1 Sr 0.0000 0.0000 0.2326
Pb1 Pb 0.2500 0.2500 0.2500
N1 N 0.0000 0.0000 0.0000
Cl1 Cl 0.0000 0.0000 0.5000
```

Main lines, low angle first (2θ from 15° to 90°):
2θ/deg	I_rel	h k l
23.0	27	2 2 0
28.2	100	2 2 2
32.7	63	4 0 0
46.9	44	4 4 0
55.6	43	6 2 2
58.3	15	4 4 4
75.7	16	6 6 2
78.0	18	8 4 0

***

No. 3
Starting from a cell relaxed with GGA-PBE, the X-ray powder pattern of Pm4NCl5 was calculated for Cu Ka.
Kinematic intensities with the Lorentz-polarization factor, no thermal factor.

Crystal structure
```
data_Pm4NCl5
_cell_length_a 17.3573
_cell_length_b 3.7708
_cell_length_c 7.9664
_cell_angle_alpha 90.00
_cell_angle_beta 104.24
_cell_angle_gamma 90.00
_space_group_name_H-M_alt 'C 1 2/m 1'
_space_group_IT_number 12
_space_group_name_Hall '-C 2y'
loop_
_atom_site_label
_atom_site_type_symbol
_atom_site_fract_x
_atom_site_fract_y
_atom_site_fract_z
Pm1 Pm 0.0017 0.0000 0.2899
Pm2 Pm 0.1443 0.5000 0.5821
N1 N 0.0000 0.5000 0.5000
Cl1 Cl 0.0000 0.5000 0.0000
Cl2 Cl 0.1632 0.0000 0.8480
Cl3 Cl 0.1715 0.0000 0.3342
```

Main lines, low angle first (2θ from 15° to 90°):
2θ/deg	I_rel	h k l
28.5	34	3 1 0
31.9	45	6 0 0
32.3	29	3 1 1
32.7	100	1 1 -2
35.8	19	5 1 0
46.1	26	7 1 -2
46.6	29	5 1 2
59.0	18	6 2 0

***

No. 4
Starting from a cell relaxed with GGA-PBE, the X-ray powder pattern of Pm2NCl was calculated for Cu Ka.
Kinematic intensities with the Lorentz-polarization factor, no thermal factor.

Crystal structure
```
data_Pm2NCl
_cell_length_a 3.6730
_cell_length_b 3.6730
_cell_length_c 20.8326
_cell_angle_alpha 90.00
_cell_angle_beta 90.00
_cell_angle_gamma 120.00
_space_group_name_H-M_alt 'R -3 m'
_space_group_IT_number 166
_space_group_name_Hall '-R 3 2"'
loop_
_atom_site_label
_atom_site_type_symbol
_atom_site_fract_x
_atom_site_fract_y
_atom_site_fract_z
Pm1 Pm 0.0000 0.0000 0.2287
N1 N 0.0000 0.0000 0.5000
Cl1 Cl 0.0000 0.0000 0.0000
```

Main lines, low angle first (2θ from 15° to 90°):
2θ/deg	I_rel	h k l
29.4	80	0 1 2
33.0	100	1 0 4
35.5	37	0 1 5
38.9	20	0 0 9
41.6	27	1 0 7
49.6	40	1 1 0
56.6	17	0 1 11
64.8	27	1 1 9

***

No. 5
Starting from a cell relaxed with GGA-PBE, the X-ray powder pattern of Pm3NCl3 was calculated for Cu Ka.
Kinematic intensities with the Lorentz-polarization factor, no thermal factor.

Crystal structure
```
data_Pm3NCl3
_cell_length_a 8.0821
_cell_length_b 3.7391
_cell_length_c 10.9774
_cell_angle_alpha 90.00
_cell_angle_beta 92.69
_cell_angle_gamma 90.00
_space_group_name_H-M_alt 'P 1 21/m 1'
_space_group_IT_number 11
_space_group_name_Hall '-P 2yb'
loop_
_atom_site_label
_atom_site_type_symbol
_atom_site_fract_x
_atom_site_fract_y
_atom_site_fract_z
Pm1 Pm 0.0877 0.2500 0.3920
Pm2 Pm 0.1314 0.2500 0.8423
Pm3 Pm 0.3245 0.7500 0.6249
N1 N 0.1221 0.2500 0.6185
Cl1 Cl 0.1292 0.2500 0.1222
Cl2 Cl 0.3769 0.7500 0.3677
Cl3 Cl 0.3870 0.7500 0.8768
```

Main lines, low angle first (2θ from 15° to 90°):
2θ/deg	I_rel	h k l
26.8	12	2 0 -2
28.1	14	2 0 2
28.9	31	0 1 2
32.7	100	2 1 0
34.3	12	0 1 3
46.1	17	2 1 -4
47.6	22	2 1 4
48.7	13	0 2 0

***

No. 6
Starting from a cell relaxed with GGA-PBE, the X-ray powder pattern of PmSmNCl was calculated for Cu Ka.
Kinematic intensities with the Lorentz-polarization factor, no thermal factor.

Crystal structure
```
data_PmSmNCl
_cell_length_a 3.6476
_cell_length_b 3.6476
_cell_length_c 21.0322
_cell_angle_alpha 90.00
_cell_angle_beta 90.00
_cell_angle_gamma 120.00
_space_group_name_H-M_alt 'R 3 m'
_space_group_IT_number 160
_space_group_name_Hall 'R 3 -2"'
loop_
_atom_site_label
_atom_site_type_symbol
_atom_site_fract_x
_atom_site_fract_y
_atom_site_fract_z
Pm1 Pm 0.0000 0.0000 0.0000
Sm1 Sm 0.0000 0.0000 0.2079
N1 N 0.0000 0.0000 0.5989
Cl1 Cl 0.0000 0.0000 0.7714
```

Main lines, low angle first (2θ from 15° to 90°):
2θ/deg	I_rel	h k l
25.4	19	0 0 6
28.6	70	1 0 1
33.1	77	1 0 4
35.5	100	0 1 5
38.5	22	0 0 9
50.0	41	1 1 0
52.3	25	1 0 10
64.8	28	1 1 9

***

No. 7
Starting from a cell relaxed with GGA-PBE, the X-ray powder pattern of PrNCl3 was calculated for Cu Ka.
Kinematic intensities with the Lorentz-polarization factor, no thermal factor.

Crystal structure
```
data_PrNCl3
_cell_length_a 7.5804
_cell_length_b 7.5804
_cell_length_c 20.9156
_cell_angle_alpha 90.00
_cell_angle_beta 90.00
_cell_angle_gamma 120.00
_space_group_name_H-M_alt 'R -3 m'
_space_group_IT_number 166
_space_group_name_Hall '-R 3 2"'
loop_
_atom_site_label
_atom_site_type_symbol
_atom_site_fract_x
_atom_site_fract_y
_atom_site_fract_z
Pr1 Pr 0.0000 0.0000 0.1666
N1 N 0.0000 0.0000 0.4077
Cl1 Cl 0.0002 0.5001 0.4180
```

Main lines, low angle first (2θ from 15° to 90°):
2θ/deg	I_rel	h k l
15.9	65	0 1 2
23.5	51	1 1 0
26.8	100	1 1 3
32.2	28	0 2 4
34.7	40	2 0 5
35.0	70	1 1 6
43.3	28	3 0 3
48.0	34	2 2 0

***

No. 8
Starting from a cell relaxed with GGA-PBE, the X-ray powder pattern of Pr4S3NCl3 was calculated for Cu Ka.
Kinematic intensities with the Lorentz-polarization factor, no thermal factor.

Crystal structure
```
data_Pr4S3NCl3
_cell_length_a 9.4416
_cell_length_b 9.4416
_cell_length_c 6.9335
_cell_angle_alpha 90.00
_cell_angle_beta 90.00
_cell_angle_gamma 120.00
_space_group_name_H-M_alt 'P 63 m c'
_space_group_IT_number 186
_space_group_name_Hall 'P 6c -2c'
loop_
_atom_site_label
_atom_site_type_symbol
_atom_site_fract_x
_atom_site_fract_y
_atom_site_fract_z
Pr1 Pr 0.2019 0.4038 0.0000
Pr2 Pr 0.3333 0.6667 0.5343
S1 S 0.0647 0.5324 0.2777
N1 N 0.3333 0.6667 0.8796
Cl1 Cl 0.1320 0.2639 0.6097
```

Main lines, low angle first (2θ from 15° to 90°):
2θ/deg	I_rel	h k l
21.7	29	2 0 0
25.3	100	2 0 1
25.7	33	0 0 2
31.7	33	2 1 1
33.9	48	2 0 2
35.4	53	3 0 1
38.1	32	2 2 0
45.1	34	2 0 3